Record 1
Sr2CrO4: theoretical powder diffraction line list (Cu Ka), based on a DFT-relaxed cell (GGA+U, the Materials Project).
Kinematic intensities with the Lorentz-polarization factor, no thermal factor.

The 10 most intense peaks (2θ from 5° to 70°), by intensity:
| 2θ/deg | intensity |
| --- | --- |
| 30.43 | 100.0 |
| 30.51 | 97.4 |
| 30.25 | 47.7 |
| 29.07 | 32.3 |
| 26.29 | 30.2 |
| 43.49 | 28.2 |
| 36.52 | 24.5 |
| 48.12 | 18.6 |
| 54.10 | 17.5 |
| 38.60 | 16.7 |

Crystal structure
abc: 14.3838 5.9098 10.1219
angles: 90.00 90.00 90.00
Positions (direct):
Sr: 0.0463 0.2237 0.0000
Sr: 0.1188 0.1935 0.6384
Sr: 0.1304 0.7228 0.2271
Sr: 0.2048 0.6924 0.8647
Sr: 0.2952 0.1924 0.3647
Sr: 0.3696 0.2228 0.7271
Sr: 0.3812 0.6935 0.1384
Sr: 0.4537 0.7237 0.5000
Sr: 0.5463 0.2763 0.0000
Sr: 0.6188 0.3065 0.6384
Sr: 0.6304 0.7772 0.2271
Sr: 0.7048 0.8076 0.8647
Sr: 0.7952 0.3076 0.3647
Sr: 0.8696 0.2772 0.7271
Sr: 0.8812 0.8065 0.1384
Sr: 0.9537 0.7763 0.5000
Cr: 0.0245 0.2762 0.3506
Cr: 0.2307 0.6968 0.5126
Cr: 0.2693 0.1968 0.0126
Cr: 0.4755 0.7762 0.8506
Cr: 0.5245 0.2238 0.3506
Cr: 0.7307 0.8032 0.5126
Cr: 0.7693 0.3032 0.0126
Cr: 0.9755 0.7238 0.8506
O: 0.0131 0.0538 0.2327
O: 0.0287 0.4701 0.7826
O: 0.0452 0.7832 0.9958
O: 0.1239 0.8408 0.4775
O: 0.1390 0.3581 0.4028
O: 0.1984 0.1331 0.8676
O: 0.2022 0.4456 0.0709
O: 0.2434 0.4992 0.6476
O: 0.2566 0.9992 0.1476
O: 0.2978 0.9456 0.5709
O: 0.3016 0.6331 0.3676
O: 0.3610 0.8581 0.9028
O: 0.3761 0.3408 0.9775
O: 0.4548 0.2832 0.4958
O: 0.4713 0.9701 0.2826
O: 0.4869 0.5538 0.7327
O: 0.5131 0.4462 0.2327
O: 0.5287 0.0299 0.7826
O: 0.5452 0.7168 0.9958
O: 0.6239 0.6592 0.4775
O: 0.6390 0.1419 0.4028
O: 0.6984 0.3669 0.8676
O: 0.7022 0.0544 0.0709
O: 0.7434 0.0008 0.6476
O: 0.7566 0.5008 0.1476
O: 0.7978 0.5544 0.5709
O: 0.8016 0.8669 0.3676
O: 0.8610 0.6419 0.9028
O: 0.8761 0.1592 0.9775
O: 0.9548 0.2168 0.4958
O: 0.9713 0.5299 0.2826
O: 0.9869 0.9462 0.7327

Record 2
SrCrO2: theoretical powder diffraction line list (Cu Ka), based on a DFT-relaxed cell (GGA+U, the Materials Project).
Kinematic intensities with the Lorentz-polarization factor, no thermal factor.

The 10 most intense peaks (2θ from 5° to 70°), by intensity:
| 2θ/deg | intensity |
| --- | --- |
| 33.99 | 100.0 |
| 57.28 | 41.5 |
| 31.16 | 36.5 |
| 44.65 | 33.5 |
| 40.80 | 13.2 |
| 62.57 | 10.3 |
| 64.99 | 9.8 |
| 52.77 | 9.7 |
| 21.90 | 8.2 |
| 50.27 | 2.1 |

Crystal structure
abc: 4.0588 4.0588 3.4694
angles: 90.00 90.00 90.00
Positions (direct):
Sr: 0.0000 0.0000 0.0000
Cr: 0.5000 0.5000 0.5000
O: 0.0000 0.5000 0.5000
O: 0.5000 0.0000 0.5000

Record 3
Sr2Cr2O7: theoretical powder diffraction line list (Cu Ka), based on a DFT-relaxed cell (GGA+U, the Materials Project).
Kinematic intensities with the Lorentz-polarization factor, no thermal factor.

The 10 most intense peaks (2θ from 5° to 70°), by intensity:
| 2θ/deg | intensity |
| --- | --- |
| 27.55 | 100.0 |
| 26.23 | 79.7 |
| 24.92 | 75.6 |
| 30.10 | 46.6 |
| 27.71 | 38.8 |
| 31.94 | 37.0 |
| 26.84 | 33.9 |
| 28.16 | 33.0 |
| 29.34 | 31.6 |
| 28.08 | 30.0 |

Crystal structure
abc: 7.1255 7.2126 13.0805
angles: 82.32 87.57 88.86
Positions (direct):
Sr: 0.0764 0.3458 0.1559
Sr: 0.2346 0.7247 0.3511
Sr: 0.3313 0.2636 0.8597
Sr: 0.3734 0.8758 0.6375
Sr: 0.6266 0.1242 0.3625
Sr: 0.6687 0.7364 0.1403
Sr: 0.7654 0.2753 0.6489
Sr: 0.9236 0.6542 0.8441
Cr: 0.1550 0.8127 0.0888
Cr: 0.1644 0.1952 0.4083
Cr: 0.2304 0.3965 0.6083
Cr: 0.4321 0.7827 0.8940
Cr: 0.5679 0.2173 0.1060
Cr: 0.7696 0.6035 0.3917
Cr: 0.8356 0.8048 0.5917
Cr: 0.8450 0.1873 0.9112
O: 0.0057 0.3306 0.9515
O: 0.0149 0.8742 0.6555
O: 0.0651 0.9783 0.1542
O: 0.0759 0.4167 0.7116
O: 0.0827 0.2854 0.5263
O: 0.2912 0.6448 0.8345
O: 0.2958 0.9192 0.9779
O: 0.3008 0.6020 0.5436
O: 0.3021 0.3531 0.3366
O: 0.3066 0.6704 0.1660
O: 0.3101 0.0034 0.4455
O: 0.3775 0.3135 0.0464
O: 0.4031 0.2470 0.6557
O: 0.4971 0.9634 0.8010
O: 0.5029 0.0366 0.1990
O: 0.5969 0.7530 0.3443
O: 0.6225 0.6865 0.9536
O: 0.6899 0.9966 0.5545
O: 0.6934 0.3296 0.8340
O: 0.6979 0.6469 0.6634
O: 0.6992 0.3980 0.4564
O: 0.7042 0.0808 0.0221
O: 0.7088 0.3552 0.1655
O: 0.9173 0.7146 0.4737
O: 0.9241 0.5833 0.2884
O: 0.9349 0.0217 0.8458
O: 0.9851 0.1258 0.3445
O: 0.9943 0.6694 0.0485

Record 4
Sr2TaCrO6: theoretical powder diffraction line list (Cu Ka), based on a DFT-relaxed cell (GGA+U, the Materials Project).
Kinematic intensities with the Lorentz-polarization factor, no thermal factor.

The 10 most intense peaks (2θ from 5° to 70°), by intensity:
| 2θ/deg | intensity |
| --- | --- |
| 31.73 | 100.0 |
| 19.28 | 28.9 |
| 45.45 | 25.6 |
| 56.49 | 24.5 |
| 31.79 | 20.2 |
| 56.58 | 20.1 |
| 66.32 | 15.0 |
| 45.61 | 12.4 |
| 37.37 | 11.6 |
| 22.30 | 8.4 |

Crystal structure
abc: 5.6296 5.6363 5.6367
angles: 119.96 90.15 119.80
Positions (direct):
Sr: 0.2478 0.4983 0.2503
Sr: 0.7522 0.5017 0.7497
Ta: 0.5000 0.0000 0.0000
Cr: 0.0000 0.0000 0.5000
O: 0.2228 0.9943 0.2210
O: 0.2326 0.5018 0.7271
O: 0.2954 0.0402 0.7469
O: 0.7046 0.9598 0.2531
O: 0.7674 0.4982 0.2729
O: 0.7772 0.0057 0.7790

Record 5
Sr2TaCrO6: theoretical powder diffraction line list (Cu Ka), based on a DFT-relaxed cell (GGA+U, the Materials Project).
Kinematic intensities with the Lorentz-polarization factor, no thermal factor.

The 10 most intense peaks (2θ from 5° to 70°), by intensity:
| 2θ/deg | intensity |
| --- | --- |
| 31.66 | 100.0 |
| 56.39 | 39.3 |
| 45.38 | 32.5 |
| 19.23 | 24.0 |
| 66.13 | 19.6 |
| 37.31 | 14.2 |
| 22.24 | 7.3 |
| 49.72 | 6.5 |
| 60.15 | 5.2 |
| 69.58 | 5.1 |

Crystal structure
abc: 5.6523 5.6523 5.6523
angles: 60.00 60.00 60.00
Positions (direct):
Sr: 0.2500 0.2500 0.2500
Sr: 0.7500 0.7500 0.7500
Ta: 0.0000 0.0000 0.0000
Cr: 0.5000 0.5000 0.5000
O: 0.2491 0.2491 0.7509
O: 0.2491 0.7509 0.2491
O: 0.2491 0.7509 0.7509
O: 0.7509 0.2491 0.2491
O: 0.7509 0.2491 0.7509
O: 0.7509 0.7509 0.2491

Record 6
Sr2UCrO6: theoretical powder diffraction line list (Cu Ka), based on a DFT-relaxed cell (GGA+U, the Materials Project).
Kinematic intensities with the Lorentz-polarization factor, no thermal factor.

The 10 most intense peaks (2θ from 5° to 70°), by intensity:
| 2θ/deg | intensity |
| --- | --- |
| 30.57 | 100.0 |
| 54.34 | 40.5 |
| 18.58 | 32.6 |
| 43.79 | 31.4 |
| 36.02 | 22.1 |
| 63.65 | 19.5 |
| 21.49 | 12.9 |
| 47.95 | 11.0 |
| 66.94 | 7.9 |
| 57.94 | 7.7 |

Crystal structure
abc: 5.8479 5.8479 5.8479
angles: 60.00 60.00 60.00
Positions (direct):
Sr: 0.2500 0.2500 0.2500
Sr: 0.7500 0.7500 0.7500
U: 0.0000 0.0000 0.0000
Cr: 0.5000 0.5000 0.5000
O: 0.2576 0.2576 0.7424
O: 0.2576 0.7424 0.2576
O: 0.2576 0.7424 0.7424
O: 0.7424 0.2576 0.2576
O: 0.7424 0.2576 0.7424
O: 0.7424 0.7424 0.2576

Record 7
SrU2Cr2O22: theoretical powder diffraction line list (Cu Ka), based on a DFT-relaxed cell (GGA+U, the Materials Project).
Kinematic intensities with the Lorentz-polarization factor, no thermal factor.

The 10 most intense peaks (2θ from 5° to 70°), by intensity:
| 2θ/deg | intensity |
| --- | --- |
| 12.00 | 100.0 |
| 13.94 | 59.5 |
| 29.05 | 35.3 |
| 14.62 | 29.5 |
| 26.83 | 29.3 |
| 24.13 | 28.9 |
| 22.27 | 28.7 |
| 25.67 | 28.5 |
| 20.01 | 26.2 |
| 16.91 | 25.8 |

Crystal structure
abc: 9.0789 10.0051 11.2112
angles: 108.93 96.78 94.19
Positions (direct):
Sr: 0.2493 0.3646 0.3295
Sr: 0.7507 0.6354 0.6705
U: 0.0237 0.8563 0.5524
U: 0.4559 0.6443 0.9550
U: 0.5441 0.3557 0.0450
U: 0.9763 0.1437 0.4476
Cr: 0.1485 0.5334 0.6534
Cr: 0.2665 0.9927 0.9091
Cr: 0.7335 0.0073 0.0909
Cr: 0.8515 0.4666 0.3466
O: 0.0220 0.6466 0.6406
O: 0.0273 0.3432 0.9162
O: 0.0404 0.0830 0.6104
O: 0.0563 0.3726 0.6175
O: 0.0803 0.7096 0.1755
O: 0.1318 0.9383 0.7877
O: 0.1379 0.1615 0.1005
O: 0.1420 0.6244 0.2261
O: 0.1681 0.1634 0.4055
O: 0.1893 0.0377 0.0676
O: 0.2177 0.8455 0.5270
O: 0.2360 0.5883 0.8025
O: 0.2697 0.5264 0.5533
O: 0.3481 0.7099 0.0848
O: 0.3634 0.1410 0.9198
O: 0.3735 0.8703 0.9138
O: 0.3861 0.4282 0.9305
O: 0.4231 0.9936 0.3725
O: 0.4284 0.2590 0.6524
O: 0.4314 0.3854 0.1802
O: 0.4587 0.0924 0.3346
O: 0.4975 0.3188 0.5918
O: 0.5025 0.6812 0.4082
O: 0.5413 0.9076 0.6654
O: 0.5686 0.6146 0.8198
O: 0.5716 0.7410 0.3476
O: 0.5769 0.0064 0.6275
O: 0.6139 0.5718 0.0695
O: 0.6265 0.1297 0.0862
O: 0.6366 0.8590 0.0802
O: 0.6519 0.2901 0.9152
O: 0.7303 0.4736 0.4467
O: 0.7640 0.4117 0.1975
O: 0.7823 0.1545 0.4730
O: 0.8107 0.9623 0.9324
O: 0.8319 0.8366 0.5945
O: 0.8580 0.3756 0.7739
O: 0.8621 0.8385 0.8995
O: 0.8682 0.0617 0.2123
O: 0.9197 0.2904 0.8245
O: 0.9437 0.6274 0.3825
O: 0.9596 0.9170 0.3896
O: 0.9727 0.6568 0.0838
O: 0.9780 0.3534 0.3594